# 1
Structure and simulated powder XRD pattern of Y8Ag2Pt (a cell relaxed with GGA-PBE; Cu Ka).
Peak positions follow from Bragg's law for the DFT cell and can differ from measured ones.

The 8 most intense peaks (5 to 70 degrees two-theta), low angle first:
2θ 30.2, d 2.957, I 59, (1 1 -2); 2θ 31.2, d 2.864, I 100, (1 5 -1); 2θ 31.9, d 2.808, I 97, (1 3 1); 2θ 32.5, d 2.752, I 74, (2 4 -1); 2θ 33.1, d 2.705, I 33, (2 2 -2); 2θ 35.7, d 2.514, I 43, (2 4 0); 2θ 36.4, d 2.471, I 44, (0 2 2); 2θ 40.3, d 2.238, I 33, (3 3 -1)

```
data_Y8Ag2Pt
_space_group_name_H-M_alt 'C 1 m 1'
_space_group_IT_number 8
_cell_length_a 7.411
_cell_length_b 16.547
_cell_length_c 6.062
_cell_angle_alpha 90.00
_cell_angle_beta 121.32
_cell_angle_gamma 90.00
loop_
_space_group_symop_operation_xyz
'x,y,z'
'x,-y,z'
'x+1/2,y+1/2,z'
'x+1/2,-y+1/2,z'
loop_
_atom_site_label
_atom_site_fract_x
_atom_site_fract_y
_atom_site_fract_z
_atom_site_occupancy
Y1 0.000 0.000 0.000 1
Y2 0.009 0.119 0.535 1
Y3 0.236 0.305 0.871 1
Y4 0.454 0.115 0.188 1
Y5 0.455 0.000 0.664 1
Ag1 0.238 0.227 0.372 1
Pt1 0.238 0.500 0.190 1
```


# 2
Structure and simulated powder XRD pattern of Ba3Si (a cell relaxed with GGA-PBE; Cu Ka).
Peak positions follow from Bragg's law for the DFT cell and can differ from measured ones.

The 8 most intense peaks (5 to 70 degrees two-theta), low angle first:
2θ 23.0, d 3.874, I 100, (1 0 1); 2θ 24.1, d 3.693, I 51, (0 0 3); 2θ 26.9, d 3.314, I 92, (1 0 2); 2θ 30.6, d 2.924, I 76, (1 1 0); 2θ 39.1, d 2.301, I 43, (1 0 4); 2θ 39.3, d 2.293, I 57, (1 1 3); 2θ 43.8, d 2.068, I 28, (2 0 0); 2θ 52.1, d 1.754, I 29, (2 1 2)

```
data_Ba3Si
_space_group_name_H-M_alt 'P 4/m m m'
_space_group_IT_number 123
_space_group_name_Hall '-P 4 2'
_cell_length_a 4.136
_cell_length_b 4.136
_cell_length_c 11.080
_cell_angle_alpha 90.00
_cell_angle_beta 90.00
_cell_angle_gamma 90.00
loop_
_atom_site_label
_atom_site_fract_x
_atom_site_fract_y
_atom_site_fract_z
_atom_site_occupancy
Ba1 0.000 0.000 0.000 1
Ba2 0.500 0.500 0.338 1
Si1 0.000 0.000 0.500 1
```


# 3
Structure and simulated powder XRD pattern of Tb2Ho7Tm3 (a cell relaxed with GGA-PBE; Cu Ka).
Peak positions follow from Bragg's law for the DFT cell and can differ from measured ones.

The 8 most intense peaks (5 to 70 degrees two-theta), low angle first:
2θ 30.9, d 2.897, I 41, (1 11 0); 2θ 31.7, d 2.827, I 25, (0 8 1); 2θ 31.8, d 2.813, I 57, (2 0 0); 2θ 32.1, d 2.789, I 100, (1 5 1); 2θ 34.3, d 2.618, I 35, (1 7 1); 2θ 35.2, d 2.549, I 25, (1 13 0); 2θ 45.5, d 1.994, I 18, (2 8 1); 2θ 56.9, d 1.619, I 20, (3 5 1)

```
data_Tb2Ho7Tm3
_space_group_name_H-M_alt 'C m m m'
_space_group_IT_number 65
_space_group_name_Hall '-C 2 2'
_cell_length_a 5.626
_cell_length_b 37.180
_cell_length_c 3.561
_cell_angle_alpha 90.00
_cell_angle_beta 90.00
_cell_angle_gamma 90.00
loop_
_atom_site_label
_atom_site_fract_x
_atom_site_fract_y
_atom_site_fract_z
_atom_site_occupancy
Tb1 0.000 0.148 0.000 1
Ho1 0.000 0.000 0.000 1
Ho2 0.000 0.072 0.500 1
Ho3 0.000 0.231 0.000 1
Ho4 0.000 0.409 0.000 1
Tm1 0.000 0.315 0.500 1
Tm2 0.000 0.500 0.500 1
```


# 4
Structure and simulated powder XRD pattern of CsMgPtCl6 (a cell relaxed with GGA-PBE; Cu Ka).
Peak positions follow from Bragg's law for the DFT cell and can differ from measured ones.

The 8 most intense peaks (5 to 70 degrees two-theta), low angle first:
2θ 11.2, d 7.930, I 71, (0 0 1); 2θ 15.6, d 5.674, I 43, (1 0 0); 2θ 18.9, d 4.688, I 100, (0 1 -1); 2θ 19.5, d 4.544, I 93, (0 1 1); 2θ 19.7, d 4.511, I 91, (1 -1 1); 2θ 27.9, d 3.202, I 36, (2 -1 0); 2θ 34.6, d 2.593, I 54, (1 1 -2); 2θ 36.4, d 2.469, I 67, (2 -1 2)

```
data_CsMgPtCl6
_space_group_name_H-M_alt 'P 1'
_space_group_IT_number 1
_cell_length_a 6.408
_cell_length_b 6.412
_cell_length_c 7.936
_cell_angle_alpha 91.08
_cell_angle_beta 91.20
_cell_angle_gamma 117.66
loop_
_space_group_symop_operation_xyz
'x,y,z'
loop_
_atom_site_label
_atom_site_fract_x
_atom_site_fract_y
_atom_site_fract_z
_atom_site_occupancy
Cs1 0.000 0.000 0.000 1
Mg1 0.333 0.669 0.500 1
Pt1 0.674 0.327 0.500 1
Cl1 0.013 0.621 0.303 1
Cl2 0.381 0.987 0.697 1
Cl3 0.382 0.349 0.330 1
Cl4 0.649 0.005 0.334 1
Cl5 0.652 0.619 0.670 1
Cl6 0.996 0.351 0.666 1
```